[1]
Calculated X-ray powder pattern of SrTl2CuF6 for Cu Kα X-rays, from a GGA-PBE-relaxed structure.
Peak positions follow from Bragg's law for the DFT cell and can differ from measured ones.

Structural model:
Lattice parameters (Å, degrees): 6.3171 6.3171 6.1678 90.00 90.00 120.00
Space group P-3m1 (No. 164)
Symmetry-distinct sites (fractional):
Sr 0.0000 0.0000 0.0000
Tl 0.3333 0.6667 0.4241
Cu 0.0000 0.0000 0.5000
F 0.1494 0.2989 0.7042

Largest 10 diffraction maxima, in order of falling intensity, 10° ≤ 2θ ≤ 80°:
hkl 1 1 0, 28.25 deg, intensity 100
hkl 0 0 1, 14.36 deg, intensity 82
hkl 0 1 1, 21.71 deg, intensity 72
hkl 1 1 1, 31.83 deg, intensity 57
hkl 1 1 2, 40.90 deg, intensity 48
hkl 2 0 1, 35.91 deg, intensity 43
hkl 1 0 2, 33.35 deg, intensity 34
hkl 0 2 2, 44.26 deg, intensity 26
hkl 0 1 3, 47.23 deg, intensity 25
hkl 1 2 3, 63.85 deg, intensity 21

---

[2]
Calculated X-ray powder pattern of TbCuF5 for Cu Kα X-rays, from a GGA-PBE-relaxed structure.
Peak positions follow from Bragg's law for the DFT cell and can differ from measured ones.

Structural model:
Lattice parameters (Å, degrees): 8.794 7.159 7.295 90.00 112.97 90.00
Space group C2/c (No. 15)
Symmetry-distinct sites (fractional):
Tb 0.000 0.059 0.250
Cu 0.000 0.500 0.000
F 0.000 0.386 0.250
F 0.015 0.174 0.963
F 0.230 0.461 0.624

Largest 10 diffraction maxima, in order of falling intensity, 10° ≤ 2θ ≤ 80°:
hkl 2 0 0, 21.95 deg, intensity 100
hkl 1 1 -2, 27.45 deg, intensity 94
hkl 0 2 0, 24.87 deg, intensity 48
hkl 1 1 0, 16.53 deg, intensity 35
hkl 4 0 0, 44.77 deg, intensity 24
hkl 3 1 -2, 35.84 deg, intensity 21
hkl 1 1 -1, 18.31 deg, intensity 21
hkl 1 1 2, 35.00 deg, intensity 21
hkl 1 3 -1, 40.19 deg, intensity 21
hkl 1 3 -2, 45.42 deg, intensity 20

---

[3]
Calculated X-ray powder pattern of CuTc2F8 for Cu Kα X-rays, from a GGA-PBE-relaxed structure.
Peak positions follow from Bragg's law for the DFT cell and can differ from measured ones.

Structural model:
Lattice parameters (Å, degrees): 4.391 5.814 5.985 75.42 83.86 82.98
Space group P-1 (No. 2)
Symmetry-distinct sites (fractional):
Cu 0.000 0.000 0.000
Tc 0.235 0.379 0.374
F 0.239 0.663 0.115
F 0.240 0.171 0.162
F 0.241 0.110 0.643
F 0.279 0.604 0.608

Largest 10 diffraction maxima, in order of falling intensity, 10° ≤ 2θ ≤ 80°:
hkl 0 1 -1, 24.68 deg, intensity 100
hkl 1 1 1, 26.05 deg, intensity 75
hkl 1 0 -1, 26.64 deg, intensity 42
hkl 1 -1 0, 27.20 deg, intensity 37
hkl 0 2 -2, 50.60 deg, intensity 30
hkl 0 2 2, 39.02 deg, intensity 27
hkl 2 2 2, 53.58 deg, intensity 25
hkl 2 0 0, 41.58 deg, intensity 24
hkl 0 0 1, 15.35 deg, intensity 22
hkl 0 2 1, 31.99 deg, intensity 22

---

[4]
Calculated X-ray powder pattern of Cu2TcF8 for Cu Kα X-rays, from a GGA-PBE-relaxed structure.
Peak positions follow from Bragg's law for the DFT cell and can differ from measured ones.

Structural model:
Lattice parameters (Å, degrees): 6.4314 6.4314 3.9541 90.00 90.00 120.00
Space group P-3m1 (No. 164)
Symmetry-distinct sites (fractional):
Cu 0.3333 0.6667 0.2675
Tc 0.0000 0.0000 0.5000
F 0.1495 0.2991 0.2484
F 0.3333 0.6667 0.7645

Largest 10 diffraction maxima, in order of falling intensity, 10° ≤ 2θ ≤ 80°:
hkl 1 1 0, 27.71 deg, intensity 100
hkl 3 0 0, 49.04 deg, intensity 32
hkl 2 2 0, 57.30 deg, intensity 16
hkl 0 2 2, 57.14 deg, intensity 14
hkl 2 1 2, 64.68 deg, intensity 12
hkl 1 1 1, 36.00 deg, intensity 12
hkl 1 0 2, 48.88 deg, intensity 10
hkl 1 0 0, 15.91 deg, intensity 9
hkl 4 1 0, 78.72 deg, intensity 9
hkl 0 0 1, 22.49 deg, intensity 7

---

[5]
Calculated X-ray powder pattern of TiTlCu2F8 for Cu Kα X-rays, from a GGA-PBE-relaxed structure.
Peak positions follow from Bragg's law for the DFT cell and can differ from measured ones.

Structural model:
Lattice parameters (Å, degrees): 8.230 6.284 7.815 90.00 109.77 90.00
Space group C2/m (No. 12)
Symmetry-distinct sites (fractional):
Ti 0.000 0.000 0.000
Tl 0.000 0.000 0.500
Cu 0.052 0.500 0.713
F 0.020 0.212 0.179
F 0.156 0.500 0.505
F 0.244 0.000 0.064

Largest 10 diffraction maxima, in order of falling intensity, 10° ≤ 2θ ≤ 80°:
hkl 1 1 -2, 27.07 deg, intensity 100
hkl 2 0 0, 22.97 deg, intensity 95
hkl 0 2 0, 28.40 deg, intensity 60
hkl 0 0 1, 12.03 deg, intensity 58
hkl 1 1 2, 33.49 deg, intensity 52
hkl 2 2 -1, 36.23 deg, intensity 43
hkl 0 2 2, 37.66 deg, intensity 37
hkl 2 0 -1, 22.03 deg, intensity 36
hkl 3 1 -3, 43.88 deg, intensity 34
hkl 1 3 -2, 49.51 deg, intensity 33

---

[6]
Calculated X-ray powder pattern of TlCuF5 for Cu Kα X-rays, from a GGA-PBE-relaxed structure.
Peak positions follow from Bragg's law for the DFT cell and can differ from measured ones.

Structural model:
Lattice parameters (Å, degrees): 9.036 6.551 7.691 90.00 114.80 90.00
Space group C2/c (No. 15)
Symmetry-distinct sites (fractional):
Tl 0.000 0.053 0.250
Cu 0.000 0.500 0.000
F 0.000 0.414 0.250
F 0.019 0.200 0.970
F 0.244 0.460 0.629

Largest 10 diffraction maxima, in order of falling intensity, 10° ≤ 2θ ≤ 80°:
hkl 1 1 -2, 26.88 deg, intensity 100
hkl 2 0 0, 21.67 deg, intensity 97
hkl 1 1 0, 17.32 deg, intensity 48
hkl 0 2 0, 27.23 deg, intensity 38
hkl 5 1 -2, 52.63 deg, intensity 28
hkl 3 1 -2, 34.89 deg, intensity 26
hkl 1 1 2, 34.68 deg, intensity 26
hkl 4 0 0, 44.16 deg, intensity 23
hkl 2 2 0, 35.06 deg, intensity 20
hkl 1 3 -2, 47.91 deg, intensity 19

---

[7]
Calculated X-ray powder pattern of TlCu2F7 for Cu Kα X-rays, from a GGA-PBE-relaxed structure.
Peak positions follow from Bragg's law for the DFT cell and can differ from measured ones.

Structural model:
Lattice parameters (Å, degrees): 7.394 9.787 3.652 90.00 90.00 90.00
Space group Cmmm (No. 65)
Symmetry-distinct sites (fractional):
Tl 0.000 0.000 0.000
Cu 0.000 0.307 0.500
F 0.000 0.293 0.000
F 0.000 0.500 0.500
F 0.164 0.129 0.500

Largest 10 diffraction maxima, in order of falling intensity, 10° ≤ 2θ ≤ 80°:
hkl 1 1 1, 28.75 deg, intensity 100
hkl 2 0 0, 24.07 deg, intensity 98
hkl 1 1 0, 15.02 deg, intensity 96
hkl 1 3 0, 29.94 deg, intensity 77
hkl 3 1 1, 45.35 deg, intensity 53
hkl 0 2 1, 30.54 deg, intensity 53
hkl 2 2 1, 39.26 deg, intensity 53
hkl 3 3 0, 46.16 deg, intensity 39
hkl 1 5 1, 54.63 deg, intensity 37
hkl 2 4 0, 44.40 deg, intensity 25

---

[8]
Calculated X-ray powder pattern of TlCu7F12 for Cu Kα X-rays, from a GGA-PBE-relaxed structure.
Peak positions follow from Bragg's law for the DFT cell and can differ from measured ones.

Structural model:
Lattice parameters (Å, degrees): 7.922 7.922 7.922 90.00 90.00 90.00
Space group Im-3 (No. 204)
Symmetry-distinct sites (fractional):
Tl 0.000 0.000 0.000
Cu 0.000 0.000 0.500
Cu 0.250 0.250 0.250
F 0.000 0.177 0.320

Largest 10 diffraction maxima, in order of falling intensity, 10° ≤ 2θ ≤ 80°:
hkl 2 2 0, 31.95 deg, intensity 100
hkl 4 2 2, 56.95 deg, intensity 52
hkl 4 0 0, 45.82 deg, intensity 25
hkl 1 1 0, 15.82 deg, intensity 18
hkl 6 0 2, 75.97 deg, intensity 17
hkl 3 1 0, 35.85 deg, intensity 15
hkl 3 2 1, 42.71 deg, intensity 15
hkl 4 4 0, 66.80 deg, intensity 13
hkl 2 1 1, 27.58 deg, intensity 9
hkl 4 1 3, 59.50 deg, intensity 6

---

[9]
Calculated X-ray powder pattern of TlCu4F7 for Cu Kα X-rays, from a GGA-PBE-relaxed structure.
Peak positions follow from Bragg's law for the DFT cell and can differ from measured ones.

Structural model:
Lattice parameters (Å, degrees): 4.171 16.122 5.088 90.00 90.00 90.00
Space group Imm2 (No. 44)
Symmetry-distinct sites (fractional):
Tl 0.000 0.000 0.000
Cu 0.000 0.261 0.527
Cu 0.000 0.381 0.012
F 0.000 0.137 0.525
F 0.000 0.254 0.025
F 0.000 0.380 0.545
F 0.000 0.500 0.045

Largest 10 diffraction maxima, in order of falling intensity, 10° ≤ 2θ ≤ 80°:
hkl 1 2 1, 29.83 deg, intensity 100
hkl 0 0 2, 35.25 deg, intensity 74
hkl 1 3 0, 27.06 deg, intensity 49
hkl 0 3 1, 24.09 deg, intensity 49
hkl 0 5 1, 32.89 deg, intensity 37
hkl 0 8 0, 44.98 deg, intensity 31
hkl 2 0 0, 43.39 deg, intensity 31
hkl 0 8 2, 58.42 deg, intensity 27
hkl 2 0 2, 57.11 deg, intensity 25
hkl 1 3 2, 45.02 deg, intensity 25

---

[10]
Calculated X-ray powder pattern of TlCu4F8 for Cu Kα X-rays, from a GGA-PBE-relaxed structure.
Peak positions follow from Bragg's law for the DFT cell and can differ from measured ones.

Structural model:
Lattice parameters (Å, degrees): 5.991 6.756 13.187 89.69 77.07 63.74
Space group P-1 (No. 2)
Symmetry-distinct sites (fractional):
Tl 0.000 0.000 0.000
Tl 0.000 0.500 0.500
Cu 0.000 0.238 0.253
Cu 0.005 0.736 0.248
Cu 0.495 0.263 0.752
Cu 0.500 0.237 0.252
F 0.233 0.371 0.669
F 0.235 0.870 0.669
F 0.238 0.342 0.171
F 0.240 0.847 0.166
F 0.257 0.139 0.338
F 0.258 0.661 0.834
F 0.260 0.153 0.834
F 0.267 0.630 0.331

Largest 10 diffraction maxima, in order of falling intensity, 10° ≤ 2θ ≤ 80°:
hkl 2 0 4, 38.81 deg, intensity 100
hkl 1 0 0, 16.98 deg, intensity 94
hkl 0 2 2, 34.25 deg, intensity 84
hkl 1 0 2, 19.13 deg, intensity 72
hkl 0 1 -1, 15.58 deg, intensity 58
hkl 0 0 4, 27.93 deg, intensity 58
hkl 0 0 2, 13.86 deg, intensity 56
hkl 1 1 1, 17.07 deg, intensity 47
hkl 2 0 0, 34.49 deg, intensity 43
hkl 1 1 3, 24.62 deg, intensity 38

---

[11]
Calculated X-ray powder pattern of TlCu3F9 for Cu Kα X-rays, from a GGA-PBE-relaxed structure.
Peak positions follow from Bragg's law for the DFT cell and can differ from measured ones.

Structural model:
Lattice parameters (Å, degrees): 7.3759 7.3759 3.8352 90.00 90.00 120.00
Space group P6/mmm (No. 191)
Symmetry-distinct sites (fractional):
Tl 0.0000 0.0000 0.0000
Cu 0.0000 0.5000 0.5000
F 0.0000 0.5000 0.0000
F 0.2045 0.4089 0.5000

Largest 10 diffraction maxima, in order of falling intensity, 10° ≤ 2θ ≤ 80°:
hkl 2 0 0, 27.94 deg, intensity 100
hkl 1 0 1, 27.12 deg, intensity 83
hkl 1 1 1, 33.72 deg, intensity 51
hkl 2 2 0, 49.43 deg, intensity 30
hkl 2 0 2, 55.93 deg, intensity 28
hkl 1 0 0, 13.86 deg, intensity 26
hkl 3 1 1, 57.28 deg, intensity 24
hkl 2 1 1, 44.33 deg, intensity 23
hkl 3 0 1, 48.93 deg, intensity 22
hkl 2 2 2, 70.90 deg, intensity 19

---

[12]
Calculated X-ray powder pattern of Tl3Cu2F9 for Cu Kα X-rays, from a GGA-PBE-relaxed structure.
Peak positions follow from Bragg's law for the DFT cell and can differ from measured ones.

Structural model:
Lattice parameters (Å, degrees): 5.8089 5.8089 7.5595 90.00 90.00 120.00
Space group P-3m1 (No. 164)
Symmetry-distinct sites (fractional):
Tl 0.0000 0.0000 0.0000
Tl 0.3333 0.6667 0.3699
Cu 0.3333 0.6667 0.8493
F 0.0000 0.5000 0.0000
F 0.1731 0.3461 0.7141

Largest 10 diffraction maxima, in order of falling intensity, 10° ≤ 2θ ≤ 80°:
hkl 1 0 2, 29.56 deg, intensity 100
hkl 1 1 0, 30.78 deg, intensity 88
hkl 0 1 1, 21.21 deg, intensity 81
hkl 0 2 2, 43.20 deg, intensity 56
hkl 2 0 1, 37.69 deg, intensity 44
hkl 2 1 2, 53.98 deg, intensity 38
hkl 1 2 4, 70.21 deg, intensity 23
hkl 1 2 1, 49.43 deg, intensity 19
hkl 0 1 4, 51.67 deg, intensity 19
hkl 2 2 0, 64.13 deg, intensity 18

---

What is the formula in the fourth record? Cu2TcF8

---

Please write out number 11 again, unchanged.
Calculated X-ray powder pattern of TlCu3F9 for Cu Kα X-rays, from a GGA-PBE-relaxed structure.
Peak positions follow from Bragg's law for the DFT cell and can differ from measured ones.

Structural model:
Lattice parameters (Å, degrees): 7.3759 7.3759 3.8352 90.00 90.00 120.00
Space group P6/mmm (No. 191)
Symmetry-distinct sites (fractional):
Tl 0.0000 0.0000 0.0000
Cu 0.0000 0.5000 0.5000
F 0.0000 0.5000 0.0000
F 0.2045 0.4089 0.5000

Largest 10 diffraction maxima, in order of falling intensity, 10° ≤ 2θ ≤ 80°:
hkl 2 0 0, 27.94 deg, intensity 100
hkl 1 0 1, 27.12 deg, intensity 83
hkl 1 1 1, 33.72 deg, intensity 51
hkl 2 2 0, 49.43 deg, intensity 30
hkl 2 0 2, 55.93 deg, intensity 28
hkl 1 0 0, 13.86 deg, intensity 26
hkl 3 1 1, 57.28 deg, intensity 24
hkl 2 1 1, 44.33 deg, intensity 23
hkl 3 0 1, 48.93 deg, intensity 22
hkl 2 2 2, 70.90 deg, intensity 19